Structure and simulated PXRD pattern of Na2FeO3 (a PBE+U-relaxed structure; Cu Ka).
No peak broadening, texture or thermal motion is included.

Cell and atoms:
Unit cell a=5.5420 b=10.8960 c=11.1157 alpha=90.00 beta=90.00 gamma=90.00
Space group Cmce (No. 64)
Symmetry-distinct sites (fractional):
Na 0.0000 0.0349 0.1447 x8
Na 0.0000 0.1241 0.5801 x8
Fe 0.0000 0.2449 0.3431 x8
O 0.0000 0.0814 0.3581 x8
O 0.0000 0.1557 0.9688 x8
O 0.2500 0.1918 0.7500 x8

The 8 most intense peaks (2θ from 10° to 80°), sorted by position:
hkl 0 2 0, 5.448 Å, 16.3 deg, I = 61; hkl 1 1 2, 3.692 Å, 24.1 deg, I = 100; hkl 2 0 0, 2.772 Å, 32.3 deg, I = 93; hkl 1 3 2, 2.666 Å, 33.6 deg, I = 75; hkl 0 4 2, 2.446 Å, 36.7 deg, I = 17; hkl 1 1 4, 2.422 Å, 37.1 deg, I = 32; hkl 0 2 5, 2.057 Å, 44.0 deg, I = 24; hkl 2 0 4, 1.962 Å, 46.3 deg, I = 28